This entry pairs a crystal structure of Ba8TePt2 with its computed PXRD pattern. Radiation: Cu Kα. Structure: a DFT-relaxed cell (GGA-PBE, Alexandria).
Lines closer than 0.1° are merged.

Main lines, in order of rising 2θ (2θ = 10–90°):
hkl 1 1 0, 16.68°, d = 5.314 Å, intensity 100; hkl 2 0 0, 19.32°, d = 4.593 Å, intensity 50; hkl 2 0 1, 23.68°, d = 3.757 Å, intensity 62; hkl 0 2 2, 33.67°, d = 2.662 Å, intensity 50; hkl 2 2 0, 33.80°, d = 2.652 Å, intensity 85; hkl 2 2 2, 43.98°, d = 2.059 Å, intensity 57

Cell and atoms:
```
data_Ba8TePt2
_cell_length_a 10.6073
_cell_length_b 10.6073
_cell_length_c 6.5323
_cell_angle_alpha 90.00
_cell_angle_beta 90.00
_cell_angle_gamma 120.00
_space_group_name_H-M_alt 'P -3'
_space_group_IT_number 147
_space_group_name_Hall '-P 3'
loop_
_atom_site_label
_atom_site_type_symbol
_atom_site_fract_x
_atom_site_fract_y
_atom_site_fract_z
Ba1 Ba 0.1670 0.3371 0.2518
Ba2 Ba 0.3333 0.6667 0.7556
Te1 Te 0.0000 0.0000 0.5000
Pt1 Pt 0.3333 0.6667 0.2631
```

---

This entry pairs a crystal structure of BaTePt with its computed PXRD pattern. Radiation: Cu Kα. Structure: a DFT-relaxed cell (GGA-PBE, Alexandria).
Lines closer than 0.1° are merged.

Main lines, in order of rising 2θ (2θ = 10–90°):
hkl 1 0 1, 12.95°, d = 6.836 Å, intensity 100; hkl 2 0 0, 17.52°, d = 5.061 Å, intensity 45; hkl 1 1 2, 29.86°, d = 2.992 Å, intensity 76; hkl 3 1 1, 35.32°, d = 2.541 Å, intensity 52; hkl 0 1 3, 35.94°, d = 2.499 Å, intensity 70; hkl 2 1 3, 40.25°, d = 2.241 Å, intensity 46

Cell and atoms:
```
data_BaTePt
_cell_length_a 10.1229
_cell_length_b 4.2496
_cell_length_c 9.2677
_cell_angle_alpha 90.00
_cell_angle_beta 90.00
_cell_angle_gamma 90.00
_space_group_name_H-M_alt 'P n m a'
_space_group_IT_number 62
_space_group_name_Hall '-P 2ac 2n'
loop_
_atom_site_label
_atom_site_type_symbol
_atom_site_fract_x
_atom_site_fract_y
_atom_site_fract_z
Ba1 Ba 0.2300 0.2500 0.0194
Te1 Te 0.0386 0.7500 0.2296
Pt1 Pt 0.0264 0.2500 0.4051
```

---

This entry pairs a crystal structure of BaTePt with its computed PXRD pattern. Radiation: Cu Kα. Structure: a DFT-relaxed cell (GGA-PBE, Alexandria).
Lines closer than 0.1° are merged.

Main lines, in order of rising 2θ (2θ = 10–90°):
hkl 0 0 1, 12.39°, d = 7.143 Å, intensity 47; hkl 1 1 1, 27.57°, d = 3.235 Å, intensity 100; hkl 0 2 0, 38.27°, d = 2.352 Å, intensity 34; hkl 2 1 1, 39.03°, d = 2.308 Å, intensity 35; hkl 2 0 2, 40.48°, d = 2.229 Å, intensity 49; hkl 2 2 2, 56.92°, d = 1.618 Å, intensity 37

Cell and atoms:
```
data_BaTePt
_cell_length_a 5.7040
_cell_length_b 4.7042
_cell_length_c 7.1426
_cell_angle_alpha 90.00
_cell_angle_beta 90.00
_cell_angle_gamma 90.00
_space_group_name_H-M_alt 'P m m a'
_space_group_IT_number 51
_space_group_name_Hall '-P 2a 2a'
loop_
_atom_site_label
_atom_site_type_symbol
_atom_site_fract_x
_atom_site_fract_y
_atom_site_fract_z
Ba1 Ba 0.2500 0.0000 0.2402
Te1 Te 0.2500 0.5000 0.8120
Pt1 Pt 0.0000 0.5000 0.5000
```

---

This entry pairs a crystal structure of BaThPt with its computed PXRD pattern. Radiation: Cu Kα. Structure: a DFT-relaxed cell (GGA-PBE, Alexandria).
Lines closer than 0.1° are merged.

Main lines, in order of rising 2θ (2θ = 10–90°):
hkl 2 0 0, 12.92°, d = 6.854 Å, intensity 47; hkl 3 1 1, 30.60°, d = 2.921 Å, intensity 100; hkl 0 2 0, 33.36°, d = 2.686 Å, intensity 69; hkl 5 1 1, 40.58°, d = 2.223 Å, intensity 55; hkl 3 3 1, 57.91°, d = 1.592 Å, intensity 33; hkl 8 2 0, 64.52°, d = 1.444 Å, intensity 44

Cell and atoms:
```
data_BaThPt
_cell_length_a 13.7087
_cell_length_b 5.3728
_cell_length_c 5.3722
_cell_angle_alpha 90.00
_cell_angle_beta 90.00
_cell_angle_gamma 90.00
_space_group_name_H-M_alt 'A m m 2'
_space_group_IT_number 38
_space_group_name_Hall 'A 2 -2'
loop_
_atom_site_label
_atom_site_type_symbol
_atom_site_fract_x
_atom_site_fract_y
_atom_site_fract_z
Ba1 Ba 0.1373 0.0000 0.0000
Th1 Th 0.3884 0.0000 0.4982
Pt1 Pt 0.0000 0.0000 0.5002
Pt2 Pt 0.5000 0.0000 0.9979
```

---

This entry pairs a crystal structure of BaTl3Pt3 with its computed PXRD pattern. Radiation: Cu Kα. Structure: a DFT-relaxed cell (GGA-PBE, Alexandria).
Lines closer than 0.1° are merged.

Main lines, in order of rising 2θ (2θ = 10–90°):
hkl 1 1 0, 16.50°, d = 5.372 Å, intensity 45; hkl 2 0 0, 23.42°, d = 3.799 Å, intensity 42; hkl 2 1 1, 28.78°, d = 3.102 Å, intensity 100; hkl 2 2 2, 41.16°, d = 2.193 Å, intensity 51; hkl 3 2 1, 44.63°, d = 2.031 Å, intensity 61; hkl 4 0 0, 47.89°, d = 1.899 Å, intensity 39

Cell and atoms:
```
data_BaTl3Pt3
_cell_length_a 7.5975
_cell_length_b 7.5975
_cell_length_c 7.5975
_cell_angle_alpha 90.00
_cell_angle_beta 90.00
_cell_angle_gamma 90.00
_space_group_name_H-M_alt 'P m -3 n'
_space_group_IT_number 223
_space_group_name_Hall '-P 4n 2 3'
loop_
_atom_site_label
_atom_site_type_symbol
_atom_site_fract_x
_atom_site_fract_y
_atom_site_fract_z
Ba1 Ba 0.0000 0.0000 0.0000
Tl1 Tl 0.0000 0.2500 0.5000
Pt1 Pt 0.0000 0.5000 0.2500
```

---

This entry pairs a crystal structure of BaTl8Pt4 with its computed PXRD pattern. Radiation: Cu Kα. Structure: a DFT-relaxed cell (GGA-PBE, Alexandria).
Lines closer than 0.1° are merged.

Main lines, in order of rising 2θ (2θ = 10–90°):
hkl 3 0 1, 30.02°, d = 2.976 Å, intensity 25; hkl 4 0 0, 34.77°, d = 2.580 Å, intensity 100; hkl 2 0 2, 34.94°, d = 2.568 Å, intensity 42; hkl 4 2 0, 39.02°, d = 2.309 Å, intensity 54; hkl 2 2 2, 39.18°, d = 2.299 Å, intensity 61; hkl 6 0 2, 62.36°, d = 1.489 Å, intensity 39

Cell and atoms:
```
data_BaTl8Pt4
_cell_length_a 10.3295
_cell_length_b 10.3295
_cell_length_c 5.9187
_cell_angle_alpha 90.00
_cell_angle_beta 90.00
_cell_angle_gamma 90.00
_space_group_name_H-M_alt 'I 4/m m m'
_space_group_IT_number 139
_space_group_name_Hall '-I 4 2'
loop_
_atom_site_label
_atom_site_type_symbol
_atom_site_fract_x
_atom_site_fract_y
_atom_site_fract_z
Ba1 Ba 0.0000 0.0000 0.0000
Tl1 Tl 0.0000 0.2176 0.5000
Tl2 Tl 0.0000 0.3441 0.0000
Pt1 Pt 0.2500 0.2500 0.2500
```

---

This entry pairs a crystal structure of Ba4Tl5Pt2 with its computed PXRD pattern. Radiation: Cu Kα. Structure: a DFT-relaxed cell (GGA-PBE, Alexandria).
Lines closer than 0.1° are merged.

Main lines, in order of rising 2θ (2θ = 10–90°):
hkl 0 1 0, 19.97°, d = 4.445 Å, intensity 57; hkl 1 1 -2, 28.59°, d = 3.123 Å, intensity 100; hkl 1 1 2, 28.79°, d = 3.101 Å, intensity 71; hkl 2 1 0, 29.20°, d = 3.059 Å, intensity 64; hkl 3 0 1, 33.21°, d = 2.697 Å, intensity 51; hkl 0 2 0, 40.59°, d = 2.223 Å, intensity 48

Cell and atoms:
```
data_Ba4Tl5Pt2
_cell_length_a 8.4315
_cell_length_b 4.4453
_cell_length_c 10.1774
_cell_angle_alpha 90.00
_cell_angle_beta 90.88
_cell_angle_gamma 90.00
_space_group_name_H-M_alt 'P 1 2/m 1'
_space_group_IT_number 10
_space_group_name_Hall '-P 2y'
loop_
_atom_site_label
_atom_site_type_symbol
_atom_site_fract_x
_atom_site_fract_y
_atom_site_fract_z
Ba1 Ba 0.1865 0.0000 0.1592
Ba2 Ba 0.2257 0.0000 0.5914
Tl1 Tl 0.1465 0.5000 0.8676
Tl2 Tl 0.4212 0.5000 0.3495
Tl3 Tl 0.5000 0.5000 0.0000
Pt1 Pt 0.0681 0.5000 0.3762
```

---

This entry pairs a crystal structure of Ba2Tl5Pt3 with its computed PXRD pattern. Radiation: Cu Kα. Structure: a DFT-relaxed cell (GGA-PBE, Alexandria).
Lines closer than 0.1° are merged.

Main lines, in order of rising 2θ (2θ = 10–90°):
hkl 1 3 2, 30.66°, d = 2.916 Å, intensity 100; hkl 1 7 1, 31.05°, d = 2.880 Å, intensity 77; hkl 1 9 0, 34.12°, d = 2.628 Å, intensity 30; hkl 2 0 0, 37.67°, d = 2.388 Å, intensity 63; hkl 1 3 3, 39.88°, d = 2.260 Å, intensity 30; hkl 1 9 2, 41.10°, d = 2.196 Å, intensity 33

Cell and atoms:
```
data_Ba2Tl5Pt3
_cell_length_a 4.7759
_cell_length_b 28.3216
_cell_length_c 7.9987
_cell_angle_alpha 90.00
_cell_angle_beta 90.00
_cell_angle_gamma 90.00
_space_group_name_H-M_alt 'C m c 21'
_space_group_IT_number 36
_space_group_name_Hall 'C 2c -2'
loop_
_atom_site_label
_atom_site_type_symbol
_atom_site_fract_x
_atom_site_fract_y
_atom_site_fract_z
Ba1 Ba 0.0000 0.0270 0.0000
Ba2 Ba 0.0000 0.3242 0.0703
Tl1 Tl 0.0000 0.0967 0.3766
Tl2 Tl 0.0000 0.2061 0.8763
Tl3 Tl 0.0000 0.2090 0.2741
Tl4 Tl 0.0000 0.3718 0.5381
Tl5 Tl 0.0000 0.4474 0.1708
Pt1 Pt 0.0000 0.1108 0.7461
Pt2 Pt 0.0000 0.2697 0.5798
Pt3 Pt 0.0000 0.4556 0.8001
```

---

This entry pairs a crystal structure of Ba3Tl2Pt7 with its computed PXRD pattern. Radiation: Cu Kα. Structure: a DFT-relaxed cell (GGA-PBE, Alexandria).
Lines closer than 0.1° are merged.

Main lines, in order of rising 2θ (2θ = 10–90°):
hkl 1 0 1, 17.77°, d = 4.992 Å, intensity 34; hkl 0 2 1, 35.52°, d = 2.528 Å, intensity 28; hkl 1 1 6, 36.45°, d = 2.465 Å, intensity 100; hkl 2 0 5, 39.13°, d = 2.302 Å, intensity 48; hkl 0 0 12, 39.57°, d = 2.278 Å, intensity 27; hkl 2 2 0, 63.47°, d = 1.466 Å, intensity 29

Cell and atoms:
```
data_Ba3Tl2Pt7
_cell_length_a 5.8625
_cell_length_b 5.8625
_cell_length_c 27.3300
_cell_angle_alpha 90.00
_cell_angle_beta 90.00
_cell_angle_gamma 120.00
_space_group_name_H-M_alt 'R -3 m'
_space_group_IT_number 166
_space_group_name_Hall '-R 3 2"'
loop_
_atom_site_label
_atom_site_type_symbol
_atom_site_fract_x
_atom_site_fract_y
_atom_site_fract_z
Ba1 Ba 0.0000 0.0000 0.0000
Ba2 Ba 0.0000 0.0000 0.1412
Tl1 Tl 0.0000 0.0000 0.3313
Pt1 Pt 0.0000 0.0000 0.5000
Pt2 Pt 0.0057 0.5029 0.0839
```

---

This entry pairs a crystal structure of Ba2Tl4Pt with its computed PXRD pattern. Radiation: Cu Kα. Structure: a DFT-relaxed cell (GGA-PBE, Alexandria).
Lines closer than 0.1° are merged.

Main lines, in order of rising 2θ (2θ = 10–90°):
hkl 1 0 1, 17.45°, d = 5.083 Å, intensity 42; hkl 1 1 2, 25.73°, d = 3.463 Å, intensity 53; hkl 0 0 6, 29.33°, d = 3.045 Å, intensity 66; hkl 1 1 4, 30.89°, d = 2.894 Å, intensity 76; hkl 2 0 0, 33.88°, d = 2.646 Å, intensity 100; hkl 2 0 6, 45.41°, d = 1.997 Å, intensity 81

Cell and atoms:
```
data_Ba2Tl4Pt
_cell_length_a 5.2920
_cell_length_b 5.2920
_cell_length_c 18.2676
_cell_angle_alpha 90.00
_cell_angle_beta 90.00
_cell_angle_gamma 90.00
_space_group_name_H-M_alt 'I 4/m m m'
_space_group_IT_number 139
_space_group_name_Hall '-I 4 2'
loop_
_atom_site_label
_atom_site_type_symbol
_atom_site_fract_x
_atom_site_fract_y
_atom_site_fract_z
Ba1 Ba 0.0000 0.0000 0.1525
Tl1 Tl 0.0000 0.0000 0.3426
Tl2 Tl 0.0000 0.5000 0.0000
Pt1 Pt 0.0000 0.0000 0.5000
```

---

This entry pairs a crystal structure of Ba5Tl2Pt2 with its computed PXRD pattern. Radiation: Cu Kα. Structure: a DFT-relaxed cell (GGA-PBE, Alexandria).
Lines closer than 0.1° are merged.

Main lines, in order of rising 2θ (2θ = 10–90°):
hkl 3 1 2, 27.33°, d = 3.263 Å, intensity 73; hkl 4 0 2, 28.30°, d = 3.153 Å, intensity 100; hkl 4 2 0, 28.52°, d = 3.129 Å, intensity 73; hkl 0 2 2, 29.49°, d = 3.029 Å, intensity 57; hkl 4 2 1, 30.38°, d = 2.942 Å, intensity 86; hkl 1 3 1, 33.62°, d = 2.666 Å, intensity 95

Cell and atoms:
```
data_Ba5Tl2Pt2
_cell_length_a 18.4759
_cell_length_b 8.5096
_cell_length_c 8.6285
_cell_angle_alpha 90.00
_cell_angle_beta 90.00
_cell_angle_gamma 90.00
_space_group_name_H-M_alt 'C m c e'
_space_group_IT_number 64
_space_group_name_Hall '-C 2ac 2'
loop_
_atom_site_label
_atom_site_type_symbol
_atom_site_fract_x
_atom_site_fract_y
_atom_site_fract_z
Ba1 Ba 0.0000 0.0000 0.0000
Ba2 Ba 0.1229 0.1743 0.3262
Tl1 Tl 0.2194 0.0000 0.0000
Pt1 Pt 0.0000 0.1163 0.6181
```

---

This entry pairs a crystal structure of BaTl3Pt with its computed PXRD pattern. Radiation: Cu Kα. Structure: a DFT-relaxed cell (GGA-PBE, Alexandria).
Lines closer than 0.1° are merged.

Main lines, in order of rising 2θ (2θ = 10–90°):
hkl 1 0 1, 11.63°, d = 7.608 Å, intensity 36; hkl 2 1 2, 29.68°, d = 3.010 Å, intensity 80; hkl 1 1 3, 30.05°, d = 2.974 Å, intensity 100; hkl 3 1 1, 33.81°, d = 2.651 Å, intensity 65; hkl 0 2 0, 36.52°, d = 2.461 Å, intensity 60; hkl 1 0 5, 38.26°, d = 2.352 Å, intensity 33

Cell and atoms:
```
data_BaTl3Pt
_cell_length_a 9.7749
_cell_length_b 4.9212
_cell_length_c 12.1177
_cell_angle_alpha 90.00
_cell_angle_beta 90.00
_cell_angle_gamma 90.00
_space_group_name_H-M_alt 'P n m a'
_space_group_IT_number 62
_space_group_name_Hall '-P 2ac 2n'
loop_
_atom_site_label
_atom_site_type_symbol
_atom_site_fract_x
_atom_site_fract_y
_atom_site_fract_z
Ba1 Ba 0.2073 0.2500 0.0007
Tl1 Tl 0.0592 0.2500 0.5904
Tl2 Tl 0.1167 0.7500 0.7963
Tl3 Tl 0.1317 0.7500 0.2023
Pt1 Pt 0.1032 0.2500 0.3542
```